Theoretical PXRD pattern of K2PuVO6 for Cu Kα X-rays, from a structure optimized by DFT (GGA+U).

Atomic structure:
Cell lengths 5.6773, 5.6773, 4.3495 Å; angles 90.00, 90.00, 90.00 degrees
Space group P4mm (No. 99)
Asymmetric unit:
K1 0.0000 0.5000 0.0000
Pu1 0.0000 0.0000 0.5166
V1 0.5000 0.5000 0.4469
O1 0.0000 0.0000 0.0188
O2 0.2652 0.2652 0.5218
O3 0.5000 0.5000 0.0616

Largest 10 diffraction maxima, by angle, 2θ from 10° to 90°:
hkl  two_theta  I/Imax
1 0 0  15.61  64
0 0 1  20.42  32
1 1 0  22.14  55
1 0 1  25.80  44
1 1 1  30.30  100
2 0 0  31.52  46
2 1 0  35.35  22
2 1 1  41.17  31
2 2 0  45.17  31
3 1 1  55.36  36